Theoretical XRD peak list
Compound: Li2VP2O7
Radiation: Cu Kα X-rays
Structure: the PBE+U geometry in the Materials Project
Lines closer than 0.1° are merged.

Main lines, low angle first (10 to 90 degrees two-theta):
2θ/deg  d (Å)  I (rel.)
11.03  8.019  59
17.54  5.056  78
18.65  4.758  58
20.11  4.415  44
22.16  4.011  98
23.65  3.762  99
24.53  3.628  51
30.52  2.929  100
32.43  2.760  45
33.49  2.676  80

a = 6.641 Å, b = 9.318 Å, c = 10.425 Å
α = 66.50°, β = 88.44°, γ = 73.62°
Positions (direct):
Li 0.000 0.000 0.000
Li 0.004 0.622 0.905
Li 0.117 0.725 0.512
Li 0.236 0.342 0.531
Li 0.302 0.406 0.140
Li 0.524 0.589 0.410
Li 0.568 0.023 0.058
Li 0.821 0.436 0.653
V 0.444 0.612 0.806
V 0.542 0.003 0.780
V 0.803 0.015 0.292
V 0.885 0.406 0.260
P 0.046 0.960 0.734
P 0.091 0.693 0.234
P 0.240 0.321 0.835
P 0.299 0.054 0.333
P 0.469 0.703 0.086
P 0.610 0.802 0.570
P 0.729 0.220 0.499
P 0.858 0.316 0.979
O 0.067 0.571 0.176
O 0.085 0.223 0.939
O 0.130 0.406 0.685
O 0.130 0.782 0.748
O 0.139 0.962 0.342
O 0.202 0.235 0.307
O 0.206 0.605 0.384
O 0.212 0.042 0.736
O 0.239 0.793 0.126
O 0.257 0.445 0.894
O 0.424 0.969 0.491
O 0.426 0.596 0.016
O 0.447 0.187 0.861
O 0.472 0.034 0.236
O 0.534 0.208 0.576
O 0.537 0.656 0.575
O 0.547 0.845 0.994
O 0.599 0.598 0.228
O 0.629 0.789 0.722
O 0.710 0.227 0.349
O 0.727 0.420 0.837
O 0.787 0.168 0.071
O 0.800 0.370 0.488
O 0.808 0.815 0.495
O 0.879 0.976 0.838
O 0.888 0.831 0.211
O 0.898 0.422 0.049
O 0.919 0.056 0.577


Theoretical XRD peak list
Compound: K2W4O13
Radiation: Cu Kα X-rays
Structure: the PBE+U geometry in the Materials Project
Lines closer than 0.1° are merged.

Main lines, low angle first (10 to 90 degrees two-theta):
2θ/deg  d (Å)  I (rel.)
11.05  8.006  54
16.92  5.241  33
22.88  3.886  62
23.13  3.846  53
25.48  3.496  21
28.05  3.181  100
28.60  3.122  35
32.76  2.734  46
36.50  2.462  36
55.40  1.658  32

a = 3.886 Å, b = 15.991 Å, c = 16.014 Å
α = 119.89°, β = 90.03°, γ = 90.01°
Positions (direct):
K 0.000 0.000 0.000
K 0.000 0.120 0.305
K 0.027 0.804 0.494
K 0.054 0.492 0.678
K 0.055 0.305 0.810
K 0.055 0.621 0.997
W 0.496 0.536 0.315
W 0.499 0.896 0.763
W 0.500 0.984 0.406
W 0.503 0.354 0.404
W 0.504 0.893 0.133
W 0.505 0.169 0.950
W 0.550 0.257 0.583
W 0.550 0.717 0.856
W 0.553 0.629 0.583
W 0.554 0.073 0.673
W 0.554 0.443 0.045
W 0.555 0.716 0.229
O 0.015 0.365 0.418
O 0.015 0.884 0.133
O 0.016 0.168 0.936
O 0.017 0.541 0.324
O 0.018 0.901 0.762
O 0.018 0.978 0.400
O 0.036 0.636 0.591
O 0.037 0.072 0.666
O 0.037 0.711 0.229
O 0.039 0.248 0.574
O 0.039 0.727 0.858
O 0.040 0.445 0.052
O 0.509 0.237 0.302
O 0.511 0.168 0.059
O 0.512 0.001 0.126
O 0.517 0.027 0.873
O 0.517 0.963 0.273
O 0.518 0.429 0.340
O 0.523 0.461 0.184
O 0.523 0.988 0.526
O 0.524 0.775 0.647
O 0.525 0.655 0.313
O 0.526 0.116 0.456
O 0.526 0.845 0.845
O 0.527 0.805 0.995
O 0.528 0.306 0.996
O 0.528 0.308 0.497
O 0.528 0.497 0.535
O 0.528 0.767 0.147
O 0.530 0.155 0.804
O 0.530 0.957 0.677
O 0.531 0.624 0.464
O 0.531 0.838 0.344
O 0.538 0.184 0.652
O 0.538 0.649 0.717
O 0.539 0.585 0.116
O 0.541 0.437 0.929
O 0.542 0.610 0.865
O 0.543 0.372 0.692


Theoretical XRD peak list
Compound: NaMo6O17
Radiation: Cu Kα X-rays
Structure: the PBE+U geometry in the Materials Project
Lines closer than 0.1° are merged.

Main lines, low angle first (10 to 90 degrees two-theta):
2θ/deg  d (Å)  I (rel.)
22.40  3.968  52
22.53  3.946  100
31.66  2.826  42
32.28  2.773  21
32.52  2.753  7
45.72  1.984  8
46.00  1.973  16
51.18  1.785  16
51.33  1.780  7
56.70  1.623  8

a = 9.777 Å, b = 5.659 Å, c = 13.413 Å
α = 90.00°, β = 90.55°, γ = 90.00°
Positions (direct):
Na 0.076 0.250 0.097
Na 0.924 0.750 0.903
Mo 0.066 0.250 0.799
Mo 0.083 0.250 0.362
Mo 0.276 0.750 0.506
Mo 0.310 0.750 0.008
Mo 0.404 0.250 0.182
Mo 0.415 0.250 0.671
Mo 0.585 0.750 0.329
Mo 0.596 0.750 0.818
Mo 0.690 0.250 0.992
Mo 0.724 0.250 0.494
Mo 0.917 0.750 0.638
Mo 0.934 0.750 0.201
O 0.023 0.012 0.244
O 0.023 0.488 0.244
O 0.055 0.250 0.929
O 0.088 0.750 0.593
O 0.156 0.006 0.428
O 0.156 0.494 0.428
O 0.183 0.750 0.916
O 0.240 0.250 0.759
O 0.260 0.250 0.264
O 0.288 0.012 0.086
O 0.288 0.488 0.086
O 0.344 0.506 0.590
O 0.344 0.994 0.590
O 0.401 0.750 0.410
O 0.475 0.750 0.950
O 0.499 0.004 0.232
O 0.499 0.496 0.232
O 0.501 0.504 0.768
O 0.501 0.996 0.768
O 0.525 0.250 0.050
O 0.599 0.250 0.590
O 0.656 0.006 0.410
O 0.656 0.494 0.410
O 0.712 0.512 0.914
O 0.712 0.988 0.914
O 0.740 0.750 0.736
O 0.760 0.750 0.241
O 0.817 0.250 0.084
O 0.844 0.506 0.572
O 0.844 0.994 0.572
O 0.912 0.250 0.407
O 0.945 0.750 0.071
O 0.977 0.512 0.756
O 0.977 0.988 0.756


Theoretical XRD peak list
Compound: NbCr2Fe3P6O24
Radiation: Cu Kα X-rays
Structure: the PBE+U geometry in the Materials Project
Lines closer than 0.1° are merged.

Main lines, low angle first (10 to 90 degrees two-theta):
2θ/deg  d (Å)  I (rel.)
20.25  4.385  21
20.36  4.363  98
23.87  3.729  100
28.87  3.093  15
32.29  2.772  82
35.64  2.519  48
46.35  1.959  28
48.86  1.864  33
55.74  1.649  30
61.93  1.498  21

a = 8.771 Å, b = 8.771 Å, c = 8.771 Å
α = 59.66°, β = 59.66°, γ = 59.66°
Positions (direct):
Nb 0.000 0.000 0.000
Cr 0.355 0.355 0.355
Cr 0.847 0.847 0.847
Fe 0.211 0.211 0.211
Fe 0.501 0.501 0.501
Fe 0.706 0.706 0.706
P 0.107 0.405 0.811
P 0.315 0.899 0.601
P 0.405 0.811 0.107
P 0.601 0.315 0.899
P 0.811 0.107 0.405
P 0.899 0.601 0.315
O 0.039 0.241 0.865
O 0.094 0.443 0.295
O 0.117 0.921 0.767
O 0.171 0.356 0.968
O 0.241 0.865 0.039
O 0.266 0.410 0.619
O 0.295 0.094 0.443
O 0.350 0.742 0.545
O 0.356 0.968 0.171
O 0.410 0.619 0.266
O 0.443 0.295 0.094
O 0.465 0.857 0.672
O 0.545 0.350 0.742
O 0.594 0.796 0.942
O 0.619 0.266 0.410
O 0.672 0.465 0.857
O 0.742 0.545 0.350
O 0.767 0.117 0.921
O 0.796 0.942 0.594
O 0.857 0.672 0.465
O 0.865 0.039 0.241
O 0.921 0.767 0.117
O 0.942 0.594 0.796
O 0.968 0.171 0.356


Theoretical XRD peak list
Compound: MnBiPO5
Radiation: Cu Kα X-rays
Structure: the PBE+U geometry in the Materials Project
Lines closer than 0.1° are merged.

Main lines, low angle first (10 to 90 degrees two-theta):
2θ/deg  d (Å)  I (rel.)
14.59  6.073  28
15.49  5.721  27
17.55  5.054  55
19.86  4.471  46
23.25  3.826  42
25.66  3.472  61
29.63  3.015  100
33.77  2.654  46
34.03  2.635  40
41.82  2.160  30

a = 5.459 Å, b = 11.442 Å, c = 7.739 Å
α = 90.00°, β = 112.19°, γ = 90.00°
Positions (direct):
Mn 0.056 0.088 0.189
Mn 0.056 0.412 0.689
Mn 0.944 0.588 0.311
Mn 0.944 0.912 0.811
Bi 0.442 0.098 0.816
Bi 0.442 0.402 0.316
Bi 0.558 0.598 0.684
Bi 0.558 0.902 0.184
P 0.315 0.650 0.022
P 0.315 0.850 0.522
P 0.685 0.150 0.478
P 0.685 0.350 0.978
O 0.182 0.727 0.492
O 0.182 0.773 0.992
O 0.229 0.578 0.161
O 0.229 0.922 0.661
O 0.236 0.582 0.835
O 0.236 0.918 0.335
O 0.262 0.024 0.013
O 0.262 0.476 0.513
O 0.382 0.174 0.397
O 0.382 0.326 0.897
O 0.618 0.674 0.103
O 0.618 0.826 0.603
O 0.738 0.524 0.487
O 0.738 0.976 0.987
O 0.764 0.082 0.665
O 0.764 0.418 0.165
O 0.771 0.078 0.339
O 0.771 0.422 0.839
O 0.818 0.227 0.008
O 0.818 0.273 0.508


Theoretical XRD peak list
Compound: Fe2O3
Radiation: Cu Kα X-rays
Structure: the PBE+U geometry in the Materials Project
Lines closer than 0.1° are merged.

Main lines, low angle first (10 to 90 degrees two-theta):
2θ/deg  d (Å)  I (rel.)
17.08  5.191  100
24.92  3.573  47
25.28  3.523  57
33.48  2.676  24
33.67  2.662  24
34.78  2.579  42
35.58  2.523  41
48.22  1.887  42
49.65  1.836  17
64.20  1.451  15

a = 5.836 Å, b = 5.836 Å, c = 5.355 Å
α = 91.60°, β = 91.60°, γ = 54.28°
Positions (direct):
Fe 0.073 0.578 0.755
Fe 0.422 0.927 0.745
Fe 0.578 0.073 0.255
Fe 0.927 0.422 0.245
O 0.237 0.763 0.750
O 0.251 0.254 0.002
O 0.254 0.251 0.502
O 0.746 0.749 0.498
O 0.749 0.746 0.998
O 0.763 0.237 0.250